Computed PXRD pattern of Ba2MgMn2P4O14 for Cu Kα X-rays, from the PBE+U geometry in the Materials Project.

Top 6 peaks for 10 to 80 degrees two-theta, in order of rising 2θ:
20.61 deg, 4.310 Å, intensity 768, (1 -1 1); 21.38 deg, 4.155 Å, intensity 871, (0 0 2); 26.15 deg, 3.408 Å, intensity 617, (1 1 -2); 27.98 deg, 3.189 Å, intensity 1000, (1 -2 1); 28.19 deg, 3.165 Å, intensity 914, (0 1 2); 32.07 deg, 2.791 Å, intensity 686, (2 0 0)

```
data_Ba2MgMn2P4O14
_chemical_formula_sum 'Ba2 Mg1 Mn2 P4 O14'
_cell_length_a 5.5868
_cell_length_b 7.6560
_cell_length_c 8.8329
_cell_angle_alpha 109.72
_cell_angle_beta 91.03
_cell_angle_gamma 91.89
_symmetry_space_group_name_H-M 'P 1'
_symmetry_Int_Tables_number 1
loop_
_symmetry_equiv_pos_as_xyz
'x,y,z'
loop_
_atom_site_label
_atom_site_fract_x
_atom_site_fract_y
_atom_site_fract_z
_atom_site_occupancy
Ba1 0.0000 0.0000 0.0000 1
Ba2 0.4163 0.9355 0.5428 1
Mg1 0.4411 0.5631 0.7147 1
Mn1 0.0225 0.5531 0.1932 1
Mn2 0.4138 0.3463 0.3826 1
P1 0.5002 0.3261 0.9948 1
P2 0.5285 0.7336 0.0879 1
P3 0.9093 0.1915 0.4729 1
P4 0.9396 0.6269 0.6043 1
O1 0.1004 0.1716 0.3450 1
O2 0.1532 0.7164 0.7231 1
O3 0.3030 0.3413 0.1209 1
O4 0.3487 0.7369 0.2173 1
O5 0.4439 0.1676 0.8417 1
O6 0.4760 0.8619 0.9945 1
O7 0.4818 0.5197 0.9469 1
O8 0.6601 0.1458 0.3879 1
O9 0.7175 0.7254 0.6883 1
O10 0.7537 0.3332 0.0682 1
O11 0.7952 0.7429 0.1372 1
O12 0.9101 0.4122 0.5952 1
O13 0.9532 0.0826 0.5849 1
O14 0.9774 0.6403 0.4383 1
```

***

Computed PXRD pattern of Ba2MgMn2P4O14 for Cu Kα X-rays, from the PBE+U geometry in the Materials Project.

Top 6 peaks for 10 to 80 degrees two-theta, in order of rising 2θ:
21.52 deg, 4.130 Å, intensity 639, (0 0 2); 26.95 deg, 3.308 Å, intensity 834, (1 1 -2); 27.22 deg, 3.276 Å, intensity 1000, (0 1 2); 29.33 deg, 3.045 Å, intensity 764, (1 -2 1); 29.65 deg, 3.012 Å, intensity 769, (1 2 0); 32.12 deg, 2.787 Å, intensity 761, (2 0 0)

```
data_Ba2MgMn2P4O14
_chemical_formula_sum 'Ba2 Mg1 Mn2 P4 O14'
_cell_length_a 5.5796
_cell_length_b 7.4420
_cell_length_c 8.4964
_cell_angle_alpha 103.32
_cell_angle_beta 92.44
_cell_angle_gamma 90.40
_symmetry_space_group_name_H-M 'P 1'
_symmetry_Int_Tables_number 1
loop_
_symmetry_equiv_pos_as_xyz
'x,y,z'
loop_
_atom_site_label
_atom_site_fract_x
_atom_site_fract_y
_atom_site_fract_z
_atom_site_occupancy
Ba1 0.0000 0.0000 0.0000 1
Ba2 0.4391 0.8889 0.5837 1
Mg1 0.4660 0.4900 0.7394 1
Mn1 0.0383 0.5529 0.2405 1
Mn2 0.4410 0.3181 0.4065 1
P1 0.5153 0.3483 0.0301 1
P2 0.5401 0.7578 0.1313 1
P3 0.9451 0.1626 0.5453 1
P4 0.9596 0.5948 0.6551 1
O1 0.1439 0.1409 0.4236 1
O2 0.1848 0.6733 0.7619 1
O3 0.3012 0.3267 0.1360 1
O4 0.3636 0.7414 0.2613 1
O5 0.4836 0.9082 0.0423 1
O6 0.4881 0.2376 0.8552 1
O7 0.4940 0.5577 0.9963 1
O8 0.6971 0.1261 0.4576 1
O9 0.7400 0.6807 0.7469 1
O10 0.7598 0.3371 0.1175 1
O11 0.8091 0.7569 0.1792 1
O12 0.9469 0.3770 0.6571 1
O13 0.9642 0.6251 0.4839 1
O14 0.9854 0.0479 0.6719 1
```

***

Computed PXRD pattern of BaPrMgMn2O5 for Cu Kα X-rays, from the PBE+U geometry in the Materials Project.

Top 6 peaks for 10 to 80 degrees two-theta, in order of rising 2θ:
23.74 deg, 3.748 Å, intensity 443, (0 0 3); 27.15 deg, 3.284 Å, intensity 1000, (1 0 2); 31.26 deg, 2.861 Å, intensity 731, (1 1 0); 32.56 deg, 2.750 Å, intensity 967, (1 0 3); 39.63 deg, 2.274 Å, intensity 409, (1 1 3); 44.79 deg, 2.023 Å, intensity 487, (2 0 0)

```
data_BaPrMgMn2O5
_chemical_formula_sum 'Ba1 Pr1 Mg1 Mn2 O5'
_cell_length_a 4.0467
_cell_length_b 4.0467
_cell_length_c 11.2439
_cell_angle_alpha 90.00
_cell_angle_beta 90.00
_cell_angle_gamma 90.00
_symmetry_space_group_name_H-M 'P 4 m m'
_symmetry_Int_Tables_number 99
loop_
_symmetry_equiv_pos_as_xyz
'x,y,z'
'-y,x,z'
'-x,-y,z'
'y,-x,z'
'-x,y,z'
'y,x,z'
'x,-y,z'
'-y,-x,z'
loop_
_atom_site_label
_atom_site_fract_x
_atom_site_fract_y
_atom_site_fract_z
_atom_site_occupancy
Ba1 0.0000 0.0000 0.0000 1
Pr1 0.0000 0.0000 0.3691 1
Mg1 0.0000 0.0000 0.6446 1
Mn1 0.5000 0.5000 0.1987 1
Mn2 0.5000 0.5000 0.6103 1
O1 0.0000 0.5000 0.2686 1
O2 0.0000 0.5000 0.5758 1
O3 0.5000 0.5000 0.0180 1
```

***

Computed PXRD pattern of BaPrMgMn2O5 for Cu Kα X-rays, from the PBE+U geometry in the Materials Project.

Top 6 peaks for 10 to 80 degrees two-theta, in order of rising 2θ:
27.24 deg, 3.273 Å, intensity 801, (0 1 2); 27.39 deg, 3.256 Å, intensity 496, (1 0 2); 30.87 deg, 2.896 Å, intensity 787, (1 1 0); 33.05 deg, 2.711 Å, intensity 853, (0 1 3); 33.17 deg, 2.701 Å, intensity 1000, (1 0 3); 52.85 deg, 1.732 Å, intensity 592, (1 1 5)

```
data_BaPrMgMn2O5
_chemical_formula_sum 'Ba1 Pr1 Mg1 Mn2 O5'
_cell_length_a 4.0794
_cell_length_b 4.1128
_cell_length_c 10.8137
_cell_angle_alpha 90.00
_cell_angle_beta 90.00
_cell_angle_gamma 90.00
_symmetry_space_group_name_H-M 'P m m 2'
_symmetry_Int_Tables_number 25
loop_
_symmetry_equiv_pos_as_xyz
'x,y,z'
'-x,-y,z'
'-x,y,z'
'x,-y,z'
loop_
_atom_site_label
_atom_site_fract_x
_atom_site_fract_y
_atom_site_fract_z
_atom_site_occupancy
Ba1 0.0000 0.0000 0.0000 1
Pr1 0.0000 0.0000 0.6391 1
Mg1 0.0000 0.5000 0.2931 1
Mn1 0.5000 0.5000 0.4669 1
Mn2 0.5000 0.5000 0.8210 1
O1 0.0000 0.5000 0.4775 1
O2 0.0000 0.5000 0.7645 1
O3 0.5000 0.0000 0.5470 1
O4 0.5000 0.0000 0.8525 1
O5 0.5000 0.5000 0.2666 1
```

***

Computed PXRD pattern of Ba2MgMnWO6 for Cu Kα X-rays, from the PBE+U geometry in the Materials Project.

Top 6 peaks for 10 to 80 degrees two-theta, in order of rising 2θ:
17.28 deg, 5.131 Å, intensity 872, (0 1 0); 27.76 deg, 3.214 Å, intensity 1000, (1 -1 1); 27.88 deg, 3.200 Å, intensity 500, (1 1 -2); 30.06 deg, 2.973 Å, intensity 714, (0 2 -1); 30.78 deg, 2.905 Å, intensity 671, (2 0 -1); 43.37 deg, 2.087 Å, intensity 694, (2 -2 0)

```
data_Ba2MgMnWO6
_chemical_formula_sum 'Ba2 Mg1 Mn1 W1 O6'
_cell_length_a 5.8105
_cell_length_b 5.9456
_cell_length_c 6.5363
_cell_angle_alpha 116.45
_cell_angle_beta 116.17
_cell_angle_gamma 90.58
_symmetry_space_group_name_H-M 'P -1'
_symmetry_Int_Tables_number 2
loop_
_symmetry_equiv_pos_as_xyz
'x,y,z'
'-x,-y,-z'
loop_
_atom_site_label
_atom_site_fract_x
_atom_site_fract_y
_atom_site_fract_z
_atom_site_occupancy
Ba1 0.1898 0.1870 0.3789 1
Mg1 0.5000 0.5000 0.0000 1
Mn1 0.0000 0.5000 0.0000 1
W1 0.5000 0.0000 0.0000 1
O1 0.2558 0.2617 0.0001 1
O2 0.2609 0.7387 0.0019 1
O3 0.2936 0.7960 0.5893 1
```

***

Computed PXRD pattern of Ba2MgMnWO6 for Cu Kα X-rays, from the PBE+U geometry in the Materials Project.

Top 6 peaks for 10 to 80 degrees two-theta, in order of rising 2θ:
19.27 deg, 4.606 Å, intensity 245, (1 0 1); 28.83 deg, 3.096 Å, intensity 1000, (2 1 1); 29.94 deg, 2.984 Å, intensity 371, (1 1 -1); 30.04 deg, 2.974 Å, intensity 292, (1 0 2); 30.15 deg, 2.965 Å, intensity 288, (0 1 2); 51.09 deg, 1.788 Å, intensity 205, (3 0 1)

```
data_Ba2MgMnWO6
_chemical_formula_sum 'Ba2 Mg1 Mn1 W1 O6'
_cell_length_a 6.1919
_cell_length_b 6.1932
_cell_length_c 6.9251
_cell_angle_alpha 63.93
_cell_angle_beta 63.70
_cell_angle_gamma 60.01
_symmetry_space_group_name_H-M 'P 1'
_symmetry_Int_Tables_number 1
loop_
_symmetry_equiv_pos_as_xyz
'x,y,z'
loop_
_atom_site_label
_atom_site_fract_x
_atom_site_fract_y
_atom_site_fract_z
_atom_site_occupancy
Ba1 0.0000 0.0000 0.0000 1
Ba2 0.4125 0.4081 0.7613 1
Mg1 0.7773 0.7759 0.6681 1
Mn1 0.1790 0.1773 0.4625 1
W1 0.6096 0.6103 0.1715 1
O1 0.4226 0.9533 0.6741 1
O2 0.4401 0.9533 0.1667 1
O3 0.4416 0.4417 0.1646 1
O4 0.9503 0.9521 0.6737 1
O5 0.9531 0.4213 0.6748 1
O6 0.9528 0.4410 0.1658 1
```